No. 1
For Ba5Gd2ZrAl2O13, a cell relaxed with GGA-PBE gives the calculated X-ray powder pattern in this record (λ = 1.5418 Å (Cu Kα)).
Neutral-atom scattering factors, no anomalous dispersion.

Most intense lines, 10 to 90 degrees two-theta, sorted by position:
| index | 2theta | I (rel.) |
| --- | --- | --- |
| 1 0 1 | 17.23 | 17 |
| 1 0 6 | 27.00 | 23 |
| 1 1 0 | 29.43 | 100 |
| 1 0 7 | 29.87 | 64 |
| 2 0 6 | 40.37 | 16 |
| 1 1 8 | 41.10 | 16 |
| 2 0 7 | 42.43 | 32 |
| 3 0 0 | 52.21 | 20 |
| 2 1 7 | 52.48 | 25 |
| 2 2 0 | 61.07 | 18 |

Cell and atoms:
Lattice parameters (Å, degrees): 6.0696 6.0696 25.4637 90.00 90.00 120.00
Space group P6_3/mmc (No. 194)
Asymmetric unit:
1 Ba 0.0000 0.0000 0.1364 x4
2 Ba 0.3333 0.6667 0.0415 x4
3 Ba 0.3333 0.6667 0.7500 x2
4 Gd 0.3333 0.6667 0.6044 x4
5 Zr 0.0000 0.0000 0.0000 x2
6 Al 0.3333 0.6667 0.1820 x4
7 O 0.0133 0.5066 0.1593 x12
8 O 0.1615 0.3230 0.5498 x12
9 O 0.3333 0.6667 0.2500 x2



No. 2
For Ba10Al3Ge7, a cell relaxed with GGA-PBE gives the calculated X-ray powder pattern in this record (λ = 1.5418 Å (Cu Kα)).
Neutral-atom scattering factors, no anomalous dispersion.

Most intense lines, 10 to 90 degrees two-theta, sorted by position:
| index | 2theta | I (rel.) |
| --- | --- | --- |
| 1 0 4 | 23.78 | 9 |
| 1 1 3 | 24.13 | 11 |
| 2 1 0 | 27.59 | 16 |
| 1 1 4 | 28.06 | 100 |
| 3 0 0 | 31.37 | 47 |
| 2 1 3 | 32.04 | 46 |
| 2 2 4 | 42.57 | 18 |
| 2 1 7 | 47.47 | 14 |
| 3 2 3 | 49.25 | 10 |
| 3 0 8 | 54.62 | 16 |

Cell and atoms:
Lattice parameters (Å, degrees): 9.8784 9.8784 16.6407 90.00 90.00 120.00
Space group P6_3/mcm (No. 193)
Asymmetric unit:
1 Ba 0.0000 0.2602 0.1032 x12
2 Ba 0.3333 0.6667 0.0000 x4
3 Ba 0.3333 0.6667 0.2500 x4
4 Al 0.0000 0.2696 0.7500 x6
5 Ge 0.0000 0.0000 0.2500 x2
6 Ge 0.0000 0.3939 0.6174 x12



No. 3
For BaAl2Ge2, a cell relaxed with GGA-PBE gives the calculated X-ray powder pattern in this record (λ = 1.5418 Å (Cu Kα)).
Neutral-atom scattering factors, no anomalous dispersion.

Most intense lines, 10 to 90 degrees two-theta, sorted by position:
| index | 2theta | I (rel.) |
| --- | --- | --- |
| 2 1 1 | 28.13 | 100 |
| 3 0 2 | 30.64 | 36 |
| 1 1 3 | 33.05 | 68 |
| 1 0 4 | 33.48 | 28 |
| 4 0 2 | 38.57 | 17 |
| 0 2 0 | 41.77 | 25 |
| 2 1 5 | 49.46 | 15 |
| 5 1 1 | 49.72 | 21 |
| 3 2 2 | 52.68 | 16 |
| 1 2 4 | 54.56 | 14 |

Cell and atoms:
Lattice parameters (Å, degrees): 10.2935 4.3247 11.0891 90.00 90.00 90.00
Space group Pnma (No. 62)
Asymmetric unit:
1 Ba 0.2482 0.2500 0.1749 x4
2 Al 0.0429 0.2500 0.8816 x4
3 Al 0.1011 0.2500 0.4530 x4
4 Ge 0.0244 0.7500 0.3432 x4
5 Ge 0.1456 0.7500 0.9597 x4



No. 4
For Ba3Al2Ge2, a cell relaxed with GGA-PBE gives the calculated X-ray powder pattern in this record (λ = 1.5418 Å (Cu Kα)).
Neutral-atom scattering factors, no anomalous dispersion.

Most intense lines, 10 to 90 degrees two-theta, sorted by position:
| index | 2theta | I (rel.) |
| --- | --- | --- |
| 1 0 3 | 24.28 | 31 |
| 0 0 6 | 26.43 | 28 |
| 0 1 5 | 28.03 | 78 |
| 1 1 2 | 28.19 | 100 |
| 1 1 4 | 32.16 | 48 |
| 0 2 0 | 34.78 | 39 |
| 1 0 7 | 37.31 | 26 |
| 2 0 0 | 41.34 | 24 |
| 2 1 5 | 50.69 | 30 |
| 1 2 9 | 58.40 | 25 |

Cell and atoms:
Lattice parameters (Å, degrees): 4.3682 5.1585 20.2308 90.00 90.00 90.00
Space group Immm (No. 71)
Asymmetric unit:
1 Ba 0.0000 0.0000 0.0000 x2
2 Ba 0.0000 0.5000 0.3165 x4
3 Al 0.0000 0.0000 0.4356 x4
4 Ge 0.0000 0.5000 0.1350 x4



No. 5
For BaAl2Ge2, a cell relaxed with GGA-PBE gives the calculated X-ray powder pattern in this record (λ = 1.5418 Å (Cu Kα)).
Neutral-atom scattering factors, no anomalous dispersion.

Most intense lines, 10 to 90 degrees two-theta, sorted by position:
| index | 2theta | I (rel.) |
| --- | --- | --- |
| 1 0 3 | 29.11 | 100 |
| 1 1 0 | 29.62 | 38 |
| 1 1 2 | 32.62 | 31 |
| 1 0 5 | 40.07 | 26 |
| 2 0 0 | 42.38 | 31 |
| 1 1 6 | 51.28 | 18 |
| 2 1 3 | 52.24 | 38 |
| 2 1 5 | 59.74 | 16 |
| 2 2 0 | 61.49 | 10 |
| 2 0 8 | 72.24 | 11 |

Cell and atoms:
Lattice parameters (Å, degrees): 4.2651 4.2651 13.2465 90.00 90.00 90.00
Space group I4/mmm (No. 139)
Asymmetric unit:
1 Ba 0.0000 0.0000 0.0000 x2
2 Al 0.0000 0.5000 0.2500 x4
3 Ge 0.0000 0.0000 0.3650 x4



No. 6
For BaAlGe, a cell relaxed with GGA-PBE gives the calculated X-ray powder pattern in this record (λ = 1.5418 Å (Cu Kα)).
Neutral-atom scattering factors, no anomalous dispersion.

Most intense lines, 10 to 90 degrees two-theta, sorted by position:
| index | 2theta | I (rel.) |
| --- | --- | --- |
| 1 0 0 | 23.42 | 20 |
| 1 0 1 | 29.12 | 100 |
| 0 0 2 | 34.54 | 16 |
| 1 1 0 | 41.16 | 30 |
| 1 0 2 | 42.15 | 8 |
| 2 0 1 | 51.21 | 20 |
| 1 1 2 | 54.78 | 26 |
| 1 0 3 | 58.59 | 14 |
| 2 1 1 | 67.70 | 18 |
| 2 1 3 | 88.46 | 9 |

Cell and atoms:
Lattice parameters (Å, degrees): 4.3867 4.3867 5.1941 90.00 90.00 120.00
Space group P-6m2 (No. 187)
Asymmetric unit:
1 Ba 0.0000 0.0000 0.0000 x1
2 Al 0.6667 0.3333 0.5000 x1
3 Ge 0.3333 0.6667 0.5000 x1



No. 7
For BaAlGeH, a cell relaxed with GGA-PBE gives the calculated X-ray powder pattern in this record (λ = 1.5418 Å (Cu Kα)).
Neutral-atom scattering factors, no anomalous dispersion.

Most intense lines, 10 to 90 degrees two-theta, sorted by position:
| index | 2theta | I (rel.) |
| --- | --- | --- |
| 1 0 0 | 23.44 | 19 |
| 0 1 1 | 29.03 | 100 |
| 0 0 2 | 34.16 | 15 |
| 1 1 0 | 41.20 | 30 |
| 1 0 2 | 41.84 | 12 |
| 2 0 1 | 51.19 | 20 |
| 1 1 2 | 54.55 | 23 |
| 0 1 3 | 58.04 | 13 |
| 1 2 1 | 67.72 | 17 |
| 1 2 3 | 88.04 | 8 |

Cell and atoms:
Lattice parameters (Å, degrees): 4.3823 4.3823 5.2501 90.00 90.00 120.00
Space group P3m1 (No. 156)
Asymmetric unit:
1 Ba 0.0000 0.0000 0.0000 x1
2 Al 0.6667 0.3333 0.5423 x1
3 Ge 0.3333 0.6667 0.4537 x1
4 H 0.6667 0.3333 0.8739 x1



No. 8
For BaAl3P2H2O14, a cell relaxed with GGA-PBE gives the calculated X-ray powder pattern in this record (λ = 1.5418 Å (Cu Kα)).
Neutral-atom scattering factors, no anomalous dispersion.

Most intense lines, 10 to 90 degrees two-theta, sorted by position:
| index | 2theta | I (rel.) |
| --- | --- | --- |
| 2 0 -1 | 14.71 | 39 |
| 1 1 0 | 15.87 | 100 |
| 3 1 -1 | 24.88 | 45 |
| 0 2 0 | 27.36 | 26 |
| 3 1 0 | 28.29 | 53 |
| 3 1 -2 | 29.00 | 39 |
| 0 2 1 | 30.85 | 24 |
| 2 0 -3 | 36.33 | 46 |
| 3 3 -2 | 49.39 | 21 |
| 6 2 -2 | 51.04 | 18 |

Cell and atoms:
Lattice parameters (Å, degrees): 12.8501 6.5199 7.5290 90.00 122.71 90.00
Space group C2/m (No. 12)
Asymmetric unit:
1 Ba 0.0000 0.0000 0.0000 x2
2 Al 0.0000 0.0000 0.5000 x2
3 Al 0.2500 0.2500 0.5000 x4
4 P 0.2192 0.5000 0.1214 x4
5 H 0.1719 0.5000 0.6468 x4
6 O 0.0936 0.1183 0.4066 x8
7 O 0.1377 0.0000 0.7825 x4
8 O 0.1450 0.5000 0.8808 x4
9 O 0.1865 0.3094 0.2091 x8
10 O 0.1885 0.5000 0.5330 x4



No. 9
For BaAlSiH, a cell relaxed with GGA-PBE gives the calculated X-ray powder pattern in this record (λ = 1.5418 Å (Cu Kα)).
Neutral-atom scattering factors, no anomalous dispersion.

Most intense lines, 10 to 90 degrees two-theta, sorted by position:
| index | 2theta | I (rel.) |
| --- | --- | --- |
| 0 0 1 | 16.85 | 14 |
| 1 0 0 | 23.70 | 35 |
| 1 0 1 | 29.22 | 100 |
| 0 0 2 | 34.07 | 14 |
| 1 1 0 | 41.68 | 26 |
| 0 1 2 | 41.93 | 18 |
| 0 2 1 | 51.71 | 20 |
| 1 1 2 | 54.88 | 21 |
| 1 0 3 | 58.04 | 14 |
| 2 1 1 | 68.50 | 17 |

Cell and atoms:
Lattice parameters (Å, degrees): 4.3342 4.3342 5.2626 90.00 90.00 120.00
Space group P3m1 (No. 156)
Asymmetric unit:
1 Ba 0.0000 0.0000 0.0000 x1
2 Al 0.6667 0.3333 0.4648 x1
3 Si 0.3333 0.6667 0.5419 x1
4 H 0.6667 0.3333 0.1345 x1